Record 1
LaP2O: theoretical powder XRD pattern (a wavelength of 1.5418 Å), based on a cell relaxed with GGA-PBE.
No peak broadening, texture or thermal motion is included.

Largest 6 diffraction maxima, sorted by position, 2θ = 10–80°:
2theta, intensity
19.54, 29
27.44, 68
29.41, 100
37.14, 26
42.31, 42
46.58, 27

Structural model:
a b c (Å): 7.416 7.416 7.416
angles (deg): 141.90 141.90 54.98
Sites, in units of the cell vectors:
La 0.375 0.625 0.750
La 0.625 0.375 0.250
P 0.000 0.000 0.000
P 0.000 0.000 0.500
P 0.000 0.500 0.000
P 0.500 0.000 0.500
O 0.125 0.875 0.250
O 0.875 0.125 0.750



Record 2
LaP3O9: theoretical powder XRD pattern (a wavelength of 1.5418 Å), based on a cell relaxed with GGA-PBE.
No peak broadening, texture or thermal motion is included.

Largest 6 diffraction maxima, sorted by position, 2θ = 10–80°:
2theta, intensity
15.52, 69
17.42, 38
23.57, 40
23.74, 100
25.53, 71
28.34, 52

Structural model:
a b c (Å): 7.189 7.189 7.495
angles (deg): 90.00 90.00 105.14
Sites, in units of the cell vectors:
La 0.129 0.129 0.000
La 0.871 0.871 0.500
P 0.252 0.252 0.500
P 0.318 0.668 0.952
P 0.332 0.682 0.548
P 0.668 0.318 0.048
P 0.682 0.332 0.452
P 0.748 0.748 0.000
O 0.138 0.174 0.666
O 0.172 0.779 0.538
O 0.174 0.138 0.334
O 0.221 0.828 0.962
O 0.223 0.478 0.034
O 0.252 0.470 0.461
O 0.373 0.627 0.750
O 0.470 0.252 0.539
O 0.478 0.223 0.966
O 0.522 0.777 0.466
O 0.530 0.748 0.039
O 0.627 0.373 0.250
O 0.748 0.530 0.961
O 0.777 0.522 0.534
O 0.779 0.172 0.462
O 0.826 0.862 0.834
O 0.828 0.221 0.038
O 0.862 0.826 0.166



Record 3
La2P4O13: theoretical powder XRD pattern (a wavelength of 1.5418 Å), based on a cell relaxed with GGA-PBE.
No peak broadening, texture or thermal motion is included.

Largest 6 diffraction maxima, sorted by position, 2θ = 10–80°:
2theta, intensity
13.91, 59
19.62, 88
22.01, 47
23.73, 82
24.02, 100
32.74, 49

Structural model:
a b c (Å): 9.779 9.779 8.957
angles (deg): 90.00 90.00 135.47
Sites, in units of the cell vectors:
La 0.104 0.394 0.360
La 0.394 0.104 0.640
La 0.606 0.896 0.140
La 0.896 0.606 0.860
P 0.099 0.416 0.001
P 0.141 0.271 0.735
P 0.271 0.141 0.265
P 0.416 0.099 0.999
P 0.584 0.901 0.499
P 0.729 0.859 0.765
P 0.859 0.729 0.235
P 0.901 0.584 0.501
O 0.031 0.483 0.900
O 0.065 0.766 0.595
O 0.091 0.909 0.250
O 0.173 0.400 0.616
O 0.197 0.367 0.897
O 0.206 0.240 0.286
O 0.234 0.935 0.905
O 0.240 0.206 0.714
O 0.262 0.571 0.111
O 0.367 0.197 0.103
O 0.400 0.173 0.384
O 0.429 0.738 0.389
O 0.483 0.031 0.100
O 0.517 0.969 0.600
O 0.571 0.262 0.889
O 0.600 0.827 0.884
O 0.633 0.803 0.603
O 0.738 0.429 0.611
O 0.760 0.794 0.214
O 0.766 0.065 0.405
O 0.794 0.760 0.786
O 0.803 0.633 0.397
O 0.827 0.600 0.116
O 0.909 0.091 0.750
O 0.935 0.234 0.095
O 0.969 0.517 0.400



What did the first record say?
LaP2O: theoretical powder XRD pattern (a wavelength of 1.5418 Å), based on a cell relaxed with GGA-PBE.
No peak broadening, texture or thermal motion is included.

Largest 6 diffraction maxima, sorted by position, 2θ = 10–80°:
2theta, intensity
19.54, 29
27.44, 68
29.41, 100
37.14, 26
42.31, 42
46.58, 27

Structural model:
a b c (Å): 7.416 7.416 7.416
angles (deg): 141.90 141.90 54.98
Sites, in units of the cell vectors:
La 0.375 0.625 0.750
La 0.625 0.375 0.250
P 0.000 0.000 0.000
P 0.000 0.000 0.500
P 0.000 0.500 0.000
P 0.500 0.000 0.500
O 0.125 0.875 0.250
O 0.875 0.125 0.750